Simulated powder diffractogram of Tb5PrY5 for Cu Kα X-rays, from a cell relaxed with GGA-PBE.
No peak broadening, texture or thermal motion is included.

Cell and atoms:
Cell: 6.104 6.104 11.723 Å, 90.00 90.00 120.00°
Atoms (fractional coordinates):
Tb  0.000  0.000  0.000
Tb  0.333  0.667  0.323
Tb  0.333  0.667  0.677
Tb  0.667  0.333  0.156
Tb  0.667  0.333  0.844
Pr  0.333  0.667  0.000
Y  0.000  0.000  0.262
Y  0.000  0.000  0.738
Y  0.334  0.167  0.500
Y  0.833  0.167  0.500
Y  0.833  0.666  0.500

Top 10 peaks for 2θ from 5° to 70°, low angle first:
Position (°2θ), I/Imax
28.40, 100.0
29.26, 87.6
30.26, 26.3
34.80, 19.7
35.01, 24.7
37.37, 24.4
41.24, 16.6
51.36, 38.6
51.89, 17.8
60.69, 20.1

***

Simulated powder diffractogram of Th2In3Co2 for Cu Kα X-rays, from a cell relaxed with GGA-PBE.
No peak broadening, texture or thermal motion is included.

Cell and atoms:
Cell: 12.567 12.567 3.727 Å, 90.00 90.00 162.74°
Atoms (fractional coordinates):
Th  0.100  0.900  0.000
Th  0.900  0.100  0.000
In  0.294  0.706  0.500
In  0.500  0.500  0.500
In  0.706  0.294  0.500
Co  0.397  0.603  0.500
Co  0.603  0.397  0.500

Top 10 peaks for 2θ from 5° to 70°, low angle first:
Position (°2θ), I/Imax
14.26, 28.8
27.92, 44.6
29.74, 76.9
32.32, 23.8
34.02, 100.0
36.15, 42.1
47.55, 49.4
48.27, 19.2
53.28, 20.4
58.27, 23.6

***

Simulated powder diffractogram of GdGa6 for Cu Kα X-rays, from a cell relaxed with GGA-PBE.
No peak broadening, texture or thermal motion is included.

Cell and atoms:
Cell: 5.998 5.998 7.631 Å, 90.00 90.00 90.00°
Atoms (fractional coordinates):
Gd  0.250  0.750  0.000
Gd  0.750  0.250  0.000
Ga  0.071  0.571  0.353
Ga  0.071  0.929  0.647
Ga  0.250  0.250  0.163
Ga  0.250  0.250  0.837
Ga  0.429  0.571  0.647
Ga  0.429  0.929  0.353
Ga  0.571  0.071  0.647
Ga  0.571  0.429  0.353
Ga  0.750  0.750  0.163
Ga  0.750  0.750  0.837
Ga  0.929  0.071  0.353
Ga  0.929  0.429  0.647

Top 10 peaks for 2θ from 5° to 70°, low angle first:
Position (°2θ), I/Imax
31.54, 38.1
32.07, 100.0
35.28, 13.1
35.47, 35.6
41.14, 34.2
41.39, 52.7
42.64, 33.6
53.99, 25.2
69.09, 14.3
69.94, 21.0

***

Simulated powder diffractogram of PrNd4Pt2 for Cu Kα X-rays, from a cell relaxed with GGA-PBE.
No peak broadening, texture or thermal motion is included.

Cell and atoms:
Cell: 7.972 6.738 8.325 Å, 90.00 113.24 90.00°
Atoms (fractional coordinates):
Pr  0.147  0.250  0.024
Pr  0.853  0.750  0.976
Nd  0.013  0.250  0.383
Nd  0.253  0.750  0.351
Nd  0.409  0.010  0.767
Nd  0.409  0.490  0.767
Nd  0.591  0.510  0.233
Nd  0.591  0.990  0.233
Nd  0.747  0.250  0.649
Nd  0.987  0.750  0.617
Pt  0.248  0.750  0.993
Pt  0.373  0.250  0.402
Pt  0.627  0.750  0.598
Pt  0.752  0.250  0.007

Top 10 peaks for 2θ from 5° to 70°, low angle first:
Position (°2θ), I/Imax
26.46, 63.3
29.59, 80.2
30.33, 55.5
33.80, 100.0
34.00, 54.3
34.94, 91.1
35.51, 88.2
37.47, 51.9
39.24, 52.6
44.56, 52.0

***

Simulated powder diffractogram of Pu2Pd3Au for Cu Kα X-rays, from a cell relaxed with GGA-PBE.
No peak broadening, texture or thermal motion is included.

Cell and atoms:
Cell: 5.482 5.482 5.482 Å, 60.63 60.63 60.63°
Atoms (fractional coordinates):
Pu  0.123  0.123  0.123
Pu  0.877  0.877  0.877
Pd  0.000  0.500  0.500
Pd  0.500  0.000  0.500
Pd  0.500  0.500  0.000
Au  0.500  0.500  0.500

Top 10 peaks for 2θ from 5° to 70°, low angle first:
Position (°2θ), I/Imax
32.35, 62.0
32.67, 27.7
38.15, 27.3
38.29, 100.0
38.57, 54.1
39.97, 32.3
61.68, 25.3
61.87, 27.7
67.72, 23.8
68.46, 23.0

***

Simulated powder diffractogram of Sm3DyTh3 for Cu Kα X-rays, from a cell relaxed with GGA-PBE.
No peak broadening, texture or thermal motion is included.

Cell and atoms:
Cell: 9.569 9.569 5.869 Å, 90.00 90.00 120.00°
Atoms (fractional coordinates):
Sm  0.044  0.242  0.250
Sm  0.198  0.956  0.250
Sm  0.242  0.198  0.750
Sm  0.758  0.802  0.250
Sm  0.802  0.044  0.750
Sm  0.956  0.758  0.750
Dy  0.333  0.667  0.250
Dy  0.667  0.333  0.750
Th  0.104  0.489  0.750
Th  0.385  0.896  0.750
Th  0.489  0.385  0.250
Th  0.511  0.615  0.750
Th  0.615  0.104  0.250
Th  0.896  0.511  0.250

Top 10 peaks for 2θ from 5° to 70°, low angle first:
Position (°2θ), I/Imax
10.68, 4.3
28.50, 23.2
30.46, 26.2
32.40, 100.0
42.20, 16.5
50.47, 20.3
55.37, 22.2
60.10, 22.4
61.26, 16.6
67.83, 4.3

***

Simulated powder diffractogram of Ac4PN7 for Cu Kα X-rays, from a cell relaxed with GGA-PBE.
No peak broadening, texture or thermal motion is included.

Cell and atoms:
Cell: 4.148 7.120 8.472 Å, 74.18 85.64 85.64°
Atoms (fractional coordinates):
Ac  0.000  0.000  0.000
Ac  0.001  0.534  0.692
Ac  0.424  0.463  0.124
Ac  0.585  0.120  0.570
P  0.586  0.726  0.361
N  0.046  0.182  0.705
N  0.412  0.708  0.820
N  0.487  0.814  0.175
N  0.512  0.502  0.450
N  0.619  0.816  0.843
N  0.787  0.841  0.450
N  0.943  0.338  0.032

Top 10 peaks for 2θ from 5° to 70°, low angle first:
Position (°2θ), I/Imax
21.84, 85.6
24.73, 73.5
24.86, 88.0
25.40, 93.7
26.06, 71.1
27.19, 100.0
28.37, 94.7
28.99, 92.8
29.65, 75.3
43.84, 67.3

***

Simulated powder diffractogram of SmTm5Sc4 for Cu Kα X-rays, from a cell relaxed with GGA-PBE.
No peak broadening, texture or thermal motion is included.

Cell and atoms:
Cell: 7.932 7.932 7.932 Å, 140.57 101.91 91.22°
Atoms (fractional coordinates):
Sm  0.000  0.000  0.000
Tm  0.002  0.201  0.801
Tm  0.400  0.201  0.199
Tm  0.500  0.000  0.500
Tm  0.600  0.799  0.801
Tm  0.998  0.799  0.199
Sc  0.193  0.693  0.500
Sc  0.250  0.500  0.750
Sc  0.750  0.500  0.250
Sc  0.807  0.307  0.500

Top 10 peaks for 2θ from 5° to 70°, low angle first:
Position (°2θ), I/Imax
18.41, 43.9
23.97, 53.5
25.68, 21.2
31.64, 33.0
33.49, 44.4
34.51, 100.0
35.63, 28.4
41.61, 28.8
44.17, 21.7
60.53, 19.3